For LiFeB2O5, a crystal structure in the Materials Project, relaxed with PBE+U gives the theoretical X-ray diffraction stick pattern in this record (Cu Kα X-rays).
Kinematic intensities with the Lorentz-polarization factor, no thermal factor.

Structure:
```
data_LiFeB2O5
_chemical_formula_sum 'Li4 Fe4 B8 O20'
_cell_length_a 4.368
_cell_length_b 11.851
_cell_length_c 6.214
_cell_angle_alpha 90.00
_cell_angle_beta 91.22
_cell_angle_gamma 90.00
_symmetry_space_group_name_H-M 'P 1 21/c 1'
_symmetry_Int_Tables_number 14
loop_
_symmetry_equiv_pos_as_xyz
'x,y,z'
'-x,-y,-z'
'-x,y+1/2,-z+1/2'
'x,-y+1/2,z+1/2'
loop_
_atom_site_label
_atom_site_type_symbol
_atom_site_fract_x
_atom_site_fract_y
_atom_site_fract_z
_atom_site_occupancy
Li1 Li 0.122 0.222 0.254 1
Fe1 Fe 0.294 0.600 0.993 1
B1 B 0.193 0.057 0.791 1
B2 B 0.315 0.633 0.519 1
O1 O 0.143 0.574 0.692 1
O2 O 0.194 0.746 0.487 1
O3 O 0.258 0.076 0.551 1
O4 O 0.263 0.567 0.312 1
O5 O 0.358 0.137 0.925 1
```

Most intense lines, 10 to 90 degrees two-theta, by angle:
two_theta, I/Imax, hkl
14.95, 62, 0 2 0
16.11, 95, 0 1 1
21.69, 100, 1 1 0
28.74, 60, 0 0 2
41.35, 54, 2 0 0
44.39, 65, 0 1 3


For Li2FeSnO4, a crystal structure in the Materials Project, relaxed with PBE+U gives the theoretical X-ray diffraction stick pattern in this record (Cu Kα X-rays).
Kinematic intensities with the Lorentz-polarization factor, no thermal factor.

Structure:
```
data_Li2FeSnO4
_chemical_formula_sum 'Li8 Fe4 Sn4 O16'
_cell_length_a 8.582
_cell_length_b 8.849
_cell_length_c 6.157
_cell_angle_alpha 90.00
_cell_angle_beta 133.51
_cell_angle_gamma 90.00
_symmetry_space_group_name_H-M 'C 1 2/c 1'
_symmetry_Int_Tables_number 15
loop_
_symmetry_equiv_pos_as_xyz
'x,y,z'
'-x,-y,-z'
'-x,y,-z+1/2'
'x,-y,z+1/2'
'x+1/2,y+1/2,z'
'-x+1/2,-y+1/2,-z'
'-x+1/2,y+1/2,-z+1/2'
'x+1/2,-y+1/2,z+1/2'
loop_
_atom_site_label
_atom_site_type_symbol
_atom_site_fract_x
_atom_site_fract_y
_atom_site_fract_z
_atom_site_occupancy
Li1 Li 0.000 0.000 0.000 1
Li2 Li 0.250 0.250 0.000 1
Fe1 Fe 0.000 0.500 0.000 1
Sn1 Sn 0.250 0.250 0.500 1
O1 O 0.010 0.248 0.022 1
O2 O 0.242 0.484 0.497 1
```

Most intense lines, 10 to 90 degrees two-theta, by angle:
two_theta, I/Imax, hkl
17.42, 22, 1 1 0
17.56, 100, 1 1 -1
40.40, 27, 0 0 2
40.79, 26, 0 4 0
42.12, 24, 4 0 -2
60.10, 22, 4 0 -4


For Sr2La2Cr3MoO12, a crystal structure in the Materials Project, relaxed with PBE+U gives the theoretical X-ray diffraction stick pattern in this record (Cu Kα X-rays).
Kinematic intensities with the Lorentz-polarization factor, no thermal factor.

Structure:
```
data_Sr2La2Cr3MoO12
_chemical_formula_sum 'Sr4 La4 Cr6 Mo2 O24'
_cell_length_a 9.654
_cell_length_b 5.612
_cell_length_c 9.680
_cell_angle_alpha 90.00
_cell_angle_beta 108.29
_cell_angle_gamma 90.00
_symmetry_space_group_name_H-M 'C 1 2/m 1'
_symmetry_Int_Tables_number 12
loop_
_symmetry_equiv_pos_as_xyz
'x,y,z'
'-x,-y,-z'
'-x,y,-z'
'x,-y,z'
'x+1/2,y+1/2,z'
'-x+1/2,-y+1/2,-z'
'-x+1/2,y+1/2,-z'
'x+1/2,-y+1/2,z'
loop_
_atom_site_label
_atom_site_type_symbol
_atom_site_fract_x
_atom_site_fract_y
_atom_site_fract_z
_atom_site_occupancy
Sr1 Sr 0.121 0.000 0.363 1
La1 La 0.121 0.500 0.880 1
Cr1 Cr 0.000 0.000 0.000 1
Cr2 Cr 0.248 0.500 0.247 1
Mo1 Mo 0.000 0.500 0.500 1
O1 O 0.102 0.258 0.139 1
O2 O 0.110 0.256 0.649 1
O3 O 0.153 0.500 0.410 1
O4 O 0.164 0.000 0.913 1
```

Most intense lines, 10 to 90 degrees two-theta, by angle:
two_theta, I/Imax, hkl
31.60, 24, 2 0 2
31.89, 25, 0 2 0
32.03, 100, 3 1 -1
45.51, 33, 2 2 2
46.36, 14, 4 0 -4
56.92, 19, 3 3 -1


For LiMn2F6, a crystal structure in the Materials Project, relaxed with PBE+U gives the theoretical X-ray diffraction stick pattern in this record (Cu Kα X-rays).
Kinematic intensities with the Lorentz-polarization factor, no thermal factor.

Structure:
```
data_LiMn2F6
_chemical_formula_sum 'Li2 Mn4 F12'
_cell_length_a 5.616
_cell_length_b 9.004
_cell_length_c 4.513
_cell_angle_alpha 90.00
_cell_angle_beta 91.45
_cell_angle_gamma 90.00
_symmetry_space_group_name_H-M 'C 1 2 1'
_symmetry_Int_Tables_number 5
loop_
_symmetry_equiv_pos_as_xyz
'x,y,z'
'-x,y,-z'
'x+1/2,y+1/2,z'
'-x+1/2,y+1/2,-z'
loop_
_atom_site_label
_atom_site_type_symbol
_atom_site_fract_x
_atom_site_fract_y
_atom_site_fract_z
_atom_site_occupancy
Li1 Li 0.000 0.000 0.000 1
Mn1 Mn 0.000 0.316 0.500 1
Mn2 Mn 0.000 0.663 0.500 1
F1 F 0.137 0.509 0.276 1
F2 F 0.147 0.815 0.270 1
F3 F 0.172 0.159 0.252 1
```

Most intense lines, 10 to 90 degrees two-theta, by angle:
two_theta, I/Imax, hkl
18.63, 35, 1 1 0
19.69, 100, 0 0 1
38.19, 42, 2 0 1
39.26, 63, 1 3 -1
53.03, 24, 1 3 -2
58.09, 22, 3 3 0


For NaLiV2O6, a crystal structure in the Materials Project, relaxed with PBE+U gives the theoretical X-ray diffraction stick pattern in this record (Cu Kα X-rays).
Kinematic intensities with the Lorentz-polarization factor, no thermal factor.

Structure:
```
data_NaLiV2O6
_chemical_formula_sum 'Na4 Li4 V8 O24'
_cell_length_a 10.745
_cell_length_b 9.942
_cell_length_c 5.938
_cell_angle_alpha 90.00
_cell_angle_beta 113.14
_cell_angle_gamma 90.00
_symmetry_space_group_name_H-M 'C 1 2/c 1'
_symmetry_Int_Tables_number 15
loop_
_symmetry_equiv_pos_as_xyz
'x,y,z'
'-x,-y,-z'
'-x,y,-z+1/2'
'x,-y,z+1/2'
'x+1/2,y+1/2,z'
'-x+1/2,-y+1/2,-z'
'-x+1/2,y+1/2,-z+1/2'
'x+1/2,-y+1/2,z+1/2'
loop_
_atom_site_label
_atom_site_type_symbol
_atom_site_fract_x
_atom_site_fract_y
_atom_site_fract_z
_atom_site_occupancy
Na1 Na 0.000 0.098 0.250 1
Li1 Li 0.000 0.226 0.750 1
V1 V 0.202 0.410 0.203 1
O1 O 0.125 0.261 0.117 1
O2 O 0.127 0.105 0.678 1
O3 O 0.151 0.485 0.433 1
```

Most intense lines, 10 to 90 degrees two-theta, by angle:
two_theta, I/Imax, hkl
17.84, 25, 0 2 0
17.96, 37, 2 0 0
24.21, 84, 0 2 1
26.11, 100, 2 2 -1
28.55, 55, 3 1 0
49.59, 33, 2 2 -3


For Li3Mn4B4O12, a crystal structure in the Materials Project, relaxed with PBE+U gives the theoretical X-ray diffraction stick pattern in this record (Cu Kα X-rays).
Kinematic intensities with the Lorentz-polarization factor, no thermal factor.

Structure:
```
data_Li3Mn4B4O12
_chemical_formula_sum 'Li6 Mn8 B8 O24'
_cell_length_a 7.882
_cell_length_b 7.934
_cell_length_c 8.275
_cell_angle_alpha 81.55
_cell_angle_beta 80.58
_cell_angle_gamma 83.64
_symmetry_space_group_name_H-M 'P -1'
_symmetry_Int_Tables_number 2
loop_
_symmetry_equiv_pos_as_xyz
'x,y,z'
'-x,-y,-z'
loop_
_atom_site_label
_atom_site_type_symbol
_atom_site_fract_x
_atom_site_fract_y
_atom_site_fract_z
_atom_site_occupancy
Li1 Li 0.187 0.344 0.274 1
Li2 Li 0.295 0.134 0.729 1
Li3 Li 0.312 0.650 0.220 1
Mn1 Mn 0.174 0.994 0.079 1
Mn2 Mn 0.181 0.497 0.576 1
Mn3 Mn 0.321 0.991 0.428 1
Mn4 Mn 0.323 0.512 0.915 1
B1 B 0.004 0.328 0.894 1
B2 B 0.004 0.826 0.406 1
B3 B 0.489 0.163 0.088 1
B4 B 0.499 0.332 0.411 1
O1 O 0.018 0.831 0.013 1
O2 O 0.023 0.330 0.490 1
O3 O 0.126 0.051 0.613 1
O4 O 0.131 0.548 0.121 1
O5 O 0.169 0.353 0.808 1
O6 O 0.170 0.842 0.313 1
O7 O 0.322 0.144 0.182 1
O8 O 0.336 0.636 0.669 1
O9 O 0.362 0.450 0.374 1
O10 O 0.382 0.965 0.892 1
O11 O 0.469 0.184 0.519 1
O12 O 0.482 0.683 0.014 1
```

Most intense lines, 10 to 90 degrees two-theta, by angle:
two_theta, I/Imax, hkl
20.23, 100, -1 1 1
21.97, 54, 0 0 2
22.75, 81, 0 2 0
33.97, 71, 2 -2 0
34.23, 100, 2 2 2
40.59, 41, 2 -2 2


For Li9Mn2Co5O16, a crystal structure in the Materials Project, relaxed with PBE+U gives the theoretical X-ray diffraction stick pattern in this record (Cu Kα X-rays).
Kinematic intensities with the Lorentz-polarization factor, no thermal factor.

Structure:
```
data_Li9Mn2Co5O16
_chemical_formula_sum 'Li9 Mn2 Co5 O16'
_cell_length_a 4.995
_cell_length_b 5.935
_cell_length_c 10.171
_cell_angle_alpha 105.14
_cell_angle_beta 100.07
_cell_angle_gamma 91.36
_symmetry_space_group_name_H-M 'P -1'
_symmetry_Int_Tables_number 2
loop_
_symmetry_equiv_pos_as_xyz
'x,y,z'
'-x,-y,-z'
loop_
_atom_site_label
_atom_site_type_symbol
_atom_site_fract_x
_atom_site_fract_y
_atom_site_fract_z
_atom_site_occupancy
Li1 Li 0.000 0.000 0.000 1
Li2 Li 0.245 0.876 0.755 1
Li3 Li 0.246 0.878 0.245 1
Li4 Li 0.250 0.381 0.754 1
Li5 Li 0.252 0.368 0.246 1
Mn1 Mn 0.000 0.500 0.000 1
Mn2 Mn 0.000 0.500 0.500 1
Co1 Co 0.000 0.000 0.500 1
Co2 Co 0.499 0.242 0.000 1
Co3 Co 0.500 0.248 0.500 1
O1 O 0.136 0.681 0.889 1
O2 O 0.137 0.168 0.381 1
O3 O 0.139 0.676 0.383 1
O4 O 0.141 0.218 0.893 1
O5 O 0.357 0.051 0.613 1
O6 O 0.364 0.552 0.616 1
O7 O 0.364 0.571 0.111 1
O8 O 0.395 0.067 0.113 1
```

Most intense lines, 10 to 90 degrees two-theta, by angle:
two_theta, I/Imax, hkl
18.40, 100, 0 0 2
35.18, 17, 1 -2 0
36.21, 13, 1 2 -2
42.39, 31, -1 2 2
44.04, 27, 1 2 -4
44.48, 26, 2 0 2